Starting from a structure optimized by DFT (GGA-PBE), the powder diffraction line list of TaCr2Os was computed for CuKα.
Neutral-atom scattering factors, no anomalous dispersion.

Crystal structure
```
TaCr2Os
1.0
3.0322 0.0000 0.0000
0.0000 3.0322 0.0000
0.0000 0.0000 6.1365
Ta Cr Os
1 2 1
Direct
0.0000 0.0000 0.0000
0.0000 0.0000 0.4727
0.5000 0.5000 0.2604
0.5000 0.5000 0.7335
```

Most intense lines, 2θ = 5–70°, sorted by position:
two_theta  I (rel.)
14.43  38
32.95  37
41.89  100
42.15  50
44.28  6
44.78  10
60.33  8
61.13  16
62.78  9
63.17  4